NbPd3: calculated powder X-ray diffraction pattern (copper Kα), based on the PBE geometry in the Materials Project.
Peak positions follow from Bragg's law for the DFT cell and can differ from measured ones.

Principal peaks in the range 10 to 90 degrees two-theta, by angle:
| 2θ (°) | I/Imax | (hkl) |
| --- | --- | --- |
| 39.2 | 100.0 | 1 1 2 |
| 44.8 | 17.0 | 0 0 4 |
| 46.0 | 31.5 | 2 0 0 |
| 66.2 | 20.7 | 2 0 4 |
| 67.1 | 9.9 | 2 2 0 |
| 78.8 | 12.5 | 1 1 6 |
| 80.6 | 23.6 | 3 1 2 |
| 84.3 | 10.5 | 2 2 4 |

Cell and atoms:
```
data_NbPd3
_space_group_name_H-M_alt 'I 4/m m m'
_space_group_IT_number 139
_space_group_name_Hall '-I 4 2'
_cell_length_a 3.945
_cell_length_b 3.945
_cell_length_c 8.092
_cell_angle_alpha 90.00
_cell_angle_beta 90.00
_cell_angle_gamma 90.00
loop_
_atom_site_label
_atom_site_type_symbol
_atom_site_fract_x
_atom_site_fract_y
_atom_site_fract_z
Nb1 Nb 0.000 0.000 0.000
Pd1 Pd 0.000 0.000 0.500
Pd2 Pd 0.000 0.500 0.250
```